# 1
# B3C
Theoretical powder XRD pattern, CuKα. Input: a cell relaxed with GGA-PBE.
Peak positions follow from Bragg's law for the DFT cell and can differ from measured ones.

```
data_B3C
_symmetry_space_group_name_H-M 'C 1 m 1'
_symmetry_Int_Tables_number 8
_cell_length_a 12.528
_cell_length_b 2.743
_cell_length_c 4.868
_cell_angle_alpha 90.00
_cell_angle_beta 103.03
_cell_angle_gamma 90.00
loop_
_symmetry_equiv_pos_as_xyz
'x,y,z'
'x,-y,z'
'x+1/2,y+1/2,z'
'x+1/2,-y+1/2,z'
loop_
_atom_site_label
_atom_site_type_symbol
_atom_site_fract_x
_atom_site_fract_y
_atom_site_fract_z
B1 B 0.000 0.000 0.000
B2 B 0.010 0.500 0.473
B3 B 0.095 0.000 0.712
B4 B 0.126 0.500 0.976
B5 B 0.174 0.500 0.342
B6 B 0.304 0.500 0.178
B7 B 0.350 0.500 0.857
B8 B 0.367 0.000 0.427
B9 B 0.449 0.500 0.607
C1 C 0.038 0.500 0.170
C2 C 0.190 0.000 0.531
C3 C 0.305 0.000 0.690
```

Most intense lines, 2θ = 10–90°, most intense first:
2θ/deg  I (rel.)  hkl
39.47  100  1 1 1
42.69  32  4 0 -2
67.79  29  3 1 -3
18.71  28  0 0 1
20.97  28  2 0 -1
68.38  24  0 2 0
38.51  17  4 0 1
57.08  14  5 1 1
44.54  14  6 0 0
70.20  11  5 1 2

***

# 2
# B5C7
Theoretical powder XRD pattern, CuKα. Input: a cell relaxed with GGA-PBE.
Peak positions follow from Bragg's law for the DFT cell and can differ from measured ones.

```
data_B5C7
_symmetry_space_group_name_H-M 'P 1'
_symmetry_Int_Tables_number 1
_cell_length_a 3.585
_cell_length_b 4.514
_cell_length_c 5.300
_cell_angle_alpha 100.59
_cell_angle_beta 90.68
_cell_angle_gamma 112.75
loop_
_symmetry_equiv_pos_as_xyz
'x,y,z'
loop_
_atom_site_label
_atom_site_type_symbol
_atom_site_fract_x
_atom_site_fract_y
_atom_site_fract_z
B1 B 0.000 0.000 0.000
B2 B 0.010 0.102 0.553
B3 B 0.312 0.162 0.273
B4 B 0.372 0.774 0.191
B5 B 0.890 0.366 0.122
C1 C 0.286 0.062 0.766
C2 C 0.353 0.741 0.692
C3 C 0.570 0.692 0.925
C4 C 0.606 0.771 0.451
C5 C 0.673 0.383 0.852
C6 C 0.719 0.474 0.392
C7 C 0.941 0.435 0.620
```

Most intense lines, 2θ = 10–90°, most intense first:
2θ/deg  I (rel.)  hkl
42.34  100  1 0 -2
41.53  93  1 1 0
42.89  88  1 -1 2
41.91  86  1 -2 0
17.09  46  0 0 1
70.26  27  -2 2 2
71.72  25  0 1 -4
70.50  25  2 0 2
74.35  20  2 1 -2
75.64  19  2 -3 2

***

# 3
# BC7
Theoretical powder XRD pattern, CuKα. Input: a cell relaxed with GGA-PBE.
Peak positions follow from Bragg's law for the DFT cell and can differ from measured ones.

```
data_BC7
_symmetry_space_group_name_H-M 'R 3 m'
_symmetry_Int_Tables_number 160
_symmetry_space_group_name_Hall 'R 3 -2"'
_cell_length_a 2.5474
_cell_length_b 2.5474
_cell_length_c 25.3398
_cell_angle_alpha 90.00
_cell_angle_beta 90.00
_cell_angle_gamma 120.00
loop_
_atom_site_label
_atom_site_type_symbol
_atom_site_fract_x
_atom_site_fract_y
_atom_site_fract_z
B1 B 0.0000 0.0000 0.0000
C1 C 0.0000 0.0000 0.0644
C2 C 0.0000 0.0000 0.2477
C3 C 0.0000 0.0000 0.3074
C4 C 0.0000 0.0000 0.4989
C5 C 0.0000 0.0000 0.5604
C6 C 0.0000 0.0000 0.7504
C7 C 0.0000 0.0000 0.8126
```

Most intense lines, 2θ = 10–90°, most intense first:
2θ/deg  I (rel.)  hkl
43.43  100  1 0 4
42.82  33  0 0 12
74.49  26  1 1 0
73.63  26  1 0 16
89.96  15  1 1 12
10.47  9  0 0 3
89.12  8  0 1 20
21.04  2  0 0 6

***

# 4
# B3C7
Theoretical powder XRD pattern, CuKα. Input: a cell relaxed with GGA-PBE.
Peak positions follow from Bragg's law for the DFT cell and can differ from measured ones.

```
data_B3C7
_symmetry_space_group_name_H-M 'R 3 m'
_symmetry_Int_Tables_number 160
_symmetry_space_group_name_Hall 'R 3 -2"'
_cell_length_a 2.5870
_cell_length_b 2.5870
_cell_length_c 32.7463
_cell_angle_alpha 90.00
_cell_angle_beta 90.00
_cell_angle_gamma 120.00
loop_
_atom_site_label
_atom_site_type_symbol
_atom_site_fract_x
_atom_site_fract_y
_atom_site_fract_z
B1 B 0.0000 0.0000 0.0000
B2 B 0.0000 0.0000 0.0526
B3 B 0.0000 0.0000 0.2467
C1 C 0.0000 0.0000 0.1974
C2 C 0.0000 0.0000 0.4054
C3 C 0.0000 0.0000 0.4521
C4 C 0.0000 0.0000 0.6014
C5 C 0.0000 0.0000 0.6450
C6 C 0.0000 0.0000 0.8011
C7 C 0.0000 0.0000 0.8489
```

Most intense lines, 2θ = 10–90°, most intense first:
2θ/deg  I (rel.)  hkl
42.65  100  0 1 5
41.36  27  0 0 15
73.17  25  1 1 0
71.35  24  0 1 20
87.70  12  1 1 15
85.96  9  1 0 25
88.56  8  2 0 5
16.24  5  0 0 6
24.47  3  0 0 9
50.14  1  0 0 18

***

# 5
# B5C7
Theoretical powder XRD pattern, CuKα. Input: a cell relaxed with GGA-PBE.
Peak positions follow from Bragg's law for the DFT cell and can differ from measured ones.

```
data_B5C7
_symmetry_space_group_name_H-M 'P -4 m 2'
_symmetry_Int_Tables_number 115
_cell_length_a 2.493
_cell_length_b 2.493
_cell_length_c 12.567
_cell_angle_alpha 90.00
_cell_angle_beta 90.00
_cell_angle_gamma 90.00
loop_
_symmetry_equiv_pos_as_xyz
'x,y,z'
'y,-x,-z'
'-x,-y,z'
'-y,x,-z'
'-x,y,z'
'-y,-x,-z'
'x,-y,z'
'y,x,-z'
loop_
_atom_site_label
_atom_site_type_symbol
_atom_site_fract_x
_atom_site_fract_y
_atom_site_fract_z
B1 B 0.000 0.000 0.000
B2 B 0.000 0.000 0.347
B3 B 0.000 0.500 0.240
C1 C 0.000 0.500 0.571
C2 C 0.000 0.500 0.912
C3 C 0.500 0.500 0.153
C4 C 0.500 0.500 0.500
```

Most intense lines, 2θ = 10–90°, most intense first:
2θ/deg  I (rel.)  hkl
42.18  100  1 0 3
69.72  27  1 1 6
14.09  16  0 0 2
76.41  12  2 0 0
21.21  11  0 0 3
78.51  8  1 0 9
51.64  2  1 0 5
28.41  2  0 0 4
57.47  2  1 0 6
82.20  2  1 1 8

***

# 6
# B7C
Theoretical powder XRD pattern, CuKα. Input: a cell relaxed with GGA-PBE.
Peak positions follow from Bragg's law for the DFT cell and can differ from measured ones.

```
data_B7C
_symmetry_space_group_name_H-M 'A m m 2'
_symmetry_Int_Tables_number 38
_cell_length_a 2.586
_cell_length_b 4.201
_cell_length_c 10.078
_cell_angle_alpha 90.00
_cell_angle_beta 90.00
_cell_angle_gamma 90.00
loop_
_symmetry_equiv_pos_as_xyz
'x,y,z'
'-x,-y,z'
'-x,y,z'
'x,-y,z'
'x,y+1/2,z+1/2'
'-x,-y+1/2,z+1/2'
'-x,y+1/2,z+1/2'
'x,-y+1/2,z+1/2'
loop_
_atom_site_label
_atom_site_type_symbol
_atom_site_fract_x
_atom_site_fract_y
_atom_site_fract_z
B1 B 0.000 0.000 0.000
B2 B 0.000 0.000 0.472
B3 B 0.000 0.228 0.845
B4 B 0.500 0.000 0.584
B5 B 0.500 0.239 0.723
C1 C 0.500 0.000 0.096
```

Most intense lines, 2θ = 10–90°, most intense first:
2θ/deg  I (rel.)  hkl
39.16  100  1 0 2
46.86  66  0 2 2
68.55  57  1 2 4
66.37  22  1 0 6
73.22  13  2 0 0
75.46  9  0 0 8
17.60  8  0 0 2
71.98  7  0 2 6
34.17  5  0 1 3
35.63  4  0 0 4